Li4MnFe3B4O12: theoretical powder X-ray diffraction pattern (a wavelength of 1.5418 Å), based on a cell relaxed with PBE+U.
Kinematic intensities with the Lorentz-polarization factor, no thermal factor.

Main lines, in order of falling intensity (10 to 80 degrees two-theta):
Position (°2θ)	Rel. int.
33.7	100
20.5	82
22.7	63
41.0	34
22.3	33
34.2	33

Structural model:
Cell: 5.221 5.999 16.122 Å, 81.78 88.92 89.24°
Fractional positions:
1 Li 0.000 0.000 0.000
2 Li 0.000 0.500 0.499
3 Li 0.301 0.875 0.217
4 Li 0.303 0.374 0.719
5 Li 0.498 0.749 0.751
6 Li 0.501 0.252 0.248
7 Li 0.802 0.123 0.467
8 Li 0.803 0.625 0.969
9 Mn 0.318 0.964 0.399
10 Mn 0.817 0.213 0.649
11 Fe 0.311 0.464 0.900
12 Fe 0.489 0.660 0.569
13 Fe 0.491 0.163 0.068
14 Fe 0.811 0.713 0.150
15 Fe 0.977 0.411 0.320
16 Fe 0.977 0.912 0.819
17 B 0.321 0.152 0.561
18 B 0.321 0.649 0.061
19 B 0.478 0.474 0.406
20 B 0.479 0.974 0.907
21 B 0.820 0.902 0.310
22 B 0.821 0.400 0.812
23 B 0.981 0.227 0.156
24 B 0.982 0.725 0.656
25 O 0.061 0.172 0.546
26 O 0.061 0.673 0.050
27 O 0.241 0.202 0.168
28 O 0.242 0.703 0.668
29 O 0.332 0.605 0.455
30 O 0.333 0.109 0.955
31 O 0.358 0.855 0.851
32 O 0.359 0.357 0.349
33 O 0.434 0.273 0.618
34 O 0.444 0.764 0.118
35 O 0.470 0.517 0.013
36 O 0.474 0.016 0.516
37 O 0.560 0.922 0.296
38 O 0.561 0.423 0.799
39 O 0.741 0.454 0.418
40 O 0.742 0.953 0.918
41 O 0.834 0.360 0.204
42 O 0.834 0.856 0.705
43 O 0.858 0.110 0.099
44 O 0.860 0.610 0.599
45 O 0.936 0.021 0.367
46 O 0.943 0.517 0.869
47 O 0.971 0.767 0.263
48 O 0.972 0.267 0.765